(1)
Computed powder diffraction line list of Na2Nd2PtO6 for Cu Kα X-rays, from the PBE geometry in Alexandria.
Intensities are scaled so that the largest is 100.

Largest 12 diffraction maxima, sorted by position, 10° ≤ 2θ ≤ 90°:
- 18.65°, 4.757 Å, intensity 20
- 19.05°, 4.660 Å, intensity 100
- 29.93°, 2.986 Å, intensity 29
- 30.16°, 2.963 Å, intensity 25
- 30.35°, 2.945 Å, intensity 32
- 32.33°, 2.769 Å, intensity 43
- 33.16°, 2.702 Å, intensity 83
- 42.90°, 2.108 Å, intensity 19
- 43.40°, 2.085 Å, intensity 32
- 45.09°, 2.011 Å, intensity 17
- 51.57°, 1.772 Å, intensity 17
- 51.86°, 1.763 Å, intensity 23

Crystal structure
```
Na2Nd2PtO6
1.0
4.7299 -4.6448 0.0000
4.7299 4.6448 0.0000
-0.1927 0.0000 6.6922
Na Nd Pt O
4 4 2 12
Direct
0.0000 0.0000 0.0000
0.5071 0.1421 0.8548
0.5107 0.4893 0.5000
0.8579 0.4929 0.1452
0.1426 0.8574 0.5000
0.3767 0.6233 0.0000
0.6403 0.0036 0.3502
0.9964 0.3597 0.6498
0.2457 0.2450 0.2442
0.7550 0.7543 0.7558
0.0616 0.6960 0.8106
0.1789 0.3058 0.9469
0.1992 0.5425 0.3220
0.3040 0.9384 0.1894
0.3194 0.1852 0.5341
0.4575 0.8008 0.6780
0.5354 0.3196 0.1902
0.6804 0.4646 0.8098
0.6942 0.8211 0.0531
0.8148 0.6806 0.4659
0.8391 0.0436 0.6822
0.9564 0.1609 0.3178
```

(2)
Computed powder diffraction line list of Pm4Dy2Bi3N2 for Cu Kα X-rays, from the PBE geometry in Alexandria.
Intensities are scaled so that the largest is 100.

Largest 12 diffraction maxima, sorted by position, 10° ≤ 2θ ≤ 90°:
- 18.79°, 4.723 Å, intensity 13
- 27.13°, 3.287 Å, intensity 33
- 27.31°, 3.266 Å, intensity 13
- 29.65°, 3.013 Å, intensity 18
- 33.46°, 2.678 Å, intensity 100
- 34.33°, 2.612 Å, intensity 15
- 37.45°, 2.401 Å, intensity 52
- 51.71°, 1.768 Å, intensity 19
- 54.01°, 1.698 Å, intensity 18
- 63.19°, 1.472 Å, intensity 15
- 65.04°, 1.434 Å, intensity 30
- 87.78°, 1.112 Å, intensity 13

Crystal structure
```
Pm4Dy2Bi3N2
1.0
-2.4012 2.4012 13.0624
2.4012 -2.4012 13.0624
2.4012 2.4012 -13.0624
Pm Dy Bi N
4 2 3 2
Direct
0.0851 0.5851 0.5000
0.4149 0.9149 0.5000
0.5851 0.0851 0.5000
0.9149 0.4149 0.5000
0.1907 0.1907 0.0000
0.8093 0.8093 0.0000
0.3172 0.3172 0.0000
0.5000 0.5000 0.0000
0.6828 0.6828 0.0000
0.1070 0.1070 0.0000
0.8930 0.8930 0.0000
```

(3)
Computed powder diffraction line list of RbCePb2Cl8 for Cu Kα X-rays, from the PBE geometry in Alexandria.
Intensities are scaled so that the largest is 100.

Largest 12 diffraction maxima, sorted by position, 10° ≤ 2θ ≤ 90°:
- 18.26°, 4.859 Å, intensity 100
- 18.53°, 4.788 Å, intensity 92
- 23.37°, 3.806 Å, intensity 59
- 23.65°, 3.763 Å, intensity 93
- 25.63°, 3.476 Å, intensity 27
- 26.85°, 3.321 Å, intensity 32
- 35.00°, 2.564 Å, intensity 42
- 35.30°, 2.543 Å, intensity 36
- 35.56°, 2.524 Å, intensity 54
- 35.86°, 2.504 Å, intensity 52
- 39.63°, 2.274 Å, intensity 25
- 43.85°, 2.065 Å, intensity 38

Crystal structure
```
RbCePb2Cl8
1.0
6.6982 0.0000 0.0000
0.0000 9.0967 0.0000
-0.1027 0.0000 6.9513
Rb Ce Pb Cl
1 1 2 8
Direct
0.0000 0.0000 0.0000
0.0000 0.5000 0.0000
0.5000 0.2470 0.5000
0.5000 0.7530 0.5000
0.2373 0.2835 0.1637
0.2373 0.7165 0.1637
0.2535 0.5000 0.6806
0.2787 0.0000 0.6280
0.7213 0.0000 0.3720
0.7465 0.5000 0.3194
0.7627 0.2835 0.8363
0.7627 0.7165 0.8363
```

(4)
Computed powder diffraction line list of Th4PaIr5 for Cu Kα X-rays, from the PBE geometry in Alexandria.
Intensities are scaled so that the largest is 100.

Largest 12 diffraction maxima, sorted by position, 10° ≤ 2θ ≤ 90°:
- 12.98°, 6.819 Å, intensity 32
- 26.25°, 3.395 Å, intensity 20
- 30.34°, 2.946 Å, intensity 61
- 33.16°, 2.701 Å, intensity 100
- 34.66°, 2.588 Å, intensity 26
- 34.91°, 2.570 Å, intensity 75
- 36.81°, 2.442 Å, intensity 48
- 37.78°, 2.381 Å, intensity 24
- 39.31°, 2.292 Å, intensity 21
- 39.65°, 2.273 Å, intensity 96
- 50.92°, 1.793 Å, intensity 30
- 52.39°, 1.746 Å, intensity 26

Crystal structure
```
Th4PaIr5
1.0
5.2368 -4.7630 0.0000
5.2368 4.7630 0.0000
-1.8781 0.0000 4.8415
Th Pa Ir
4 1 5
Direct
0.0000 0.0000 0.0000
0.0159 0.6024 0.3570
0.5784 0.5784 0.6409
0.6024 0.0159 0.3570
0.3244 0.3244 0.9420
0.2634 0.2634 0.4048
0.2845 0.9203 0.6289
0.3164 0.7153 0.0580
0.7153 0.3164 0.0580
0.9203 0.2845 0.6289
```